This entry pairs a crystal structure of Fe5P3O13 with its theoretical powder X-ray diffraction pattern. Radiation: CuKα. Structure: a cell relaxed with PBE+U.
Neutral-atom scattering factors, no anomalous dispersion.

Atomic structure:
a = 8.5482 Å, b = 6.3214 Å, c = 9.8476 Å
α = 90.00°, β = 94.79°, γ = 90.00°
Atoms (fractional coordinates):
Fe: 0.0856 0.2500 0.1162
Fe: 0.2676 0.2500 0.5578
Fe: 0.3458 0.2500 0.9089
Fe: 0.3859 0.0006 0.2337
Fe: 0.3859 0.4994 0.2337
Fe: 0.6141 0.5006 0.7663
Fe: 0.6141 0.9994 0.7663
Fe: 0.6542 0.7500 0.0911
Fe: 0.7324 0.7500 0.4422
Fe: 0.9144 0.7500 0.8838
P: 0.0217 0.7500 0.2221
P: 0.3184 0.7500 0.9162
P: 0.3899 0.7500 0.5197
P: 0.6101 0.2500 0.4803
P: 0.6816 0.2500 0.0838
P: 0.9783 0.2500 0.7779
O: 0.0687 0.2500 0.6521
O: 0.0949 0.2500 0.9107
O: 0.1249 0.5464 0.2145
O: 0.1249 0.9536 0.2145
O: 0.1380 0.7500 0.8995
O: 0.2917 0.5543 0.5382
O: 0.2917 0.9457 0.5382
O: 0.3084 0.2500 0.1113
O: 0.3811 0.7500 0.0706
O: 0.3825 0.5477 0.8492
O: 0.3825 0.9523 0.8492
O: 0.4492 0.7500 0.3686
O: 0.4527 0.2500 0.3836
O: 0.5473 0.7500 0.6164
O: 0.5508 0.2500 0.6314
O: 0.6175 0.0477 0.1508
O: 0.6175 0.4523 0.1508
O: 0.6189 0.2500 0.9294
O: 0.6916 0.7500 0.8887
O: 0.7083 0.0543 0.4618
O: 0.7083 0.4457 0.4618
O: 0.8620 0.2500 0.1005
O: 0.8751 0.0464 0.7855
O: 0.8751 0.4536 0.7855
O: 0.9051 0.7500 0.0893
O: 0.9313 0.7500 0.3479

Principal peaks in the range 2θ = 15–90°, by angle:
two_theta  intensity  (hkl)
27.3  644  0 0 3
28.2  508  0 2 0
28.4  626  1 0 -3
28.9  697  2 0 2
30.1  1000  1 0 3
31.5  526  3 0 0
31.8  810  1 2 1
33.7  988  0 2 2